Record 1
Na4Co7O14: simulated PXRD pattern (Cu Kα (λ = 1.5418 Å)), based on a DFT-relaxed cell (PBE+U, OQMD).

The 10 most intense peaks (2θ from 15° to 90°), sorted by position:
hkl 0 2 0, 16.31 deg, rel. 100.0; hkl 0 4 0, 32.96 deg, rel. 12.6; hkl 3 0 -2, 36.97 deg, rel. 18.9; hkl 1 2 -3, 40.65 deg, rel. 45.0; hkl 3 3 -2, 44.89 deg, rel. 12.3; hkl 3 4 -2, 50.35 deg, rel. 37.0; hkl 1 6 -3, 64.09 deg, rel. 19.0; hkl 4 0 -5, 66.66 deg, rel. 9.3; hkl 5 2 -1, 69.14 deg, rel. 6.9; hkl 2 8 1, 81.03 deg, rel. 7.6

Structural model:
```
data_Na4Co7O14
_chemical_formula_sum 'Na8 Co14 O28'
_symmetry_space_group_name_H-M 'P 1 21/m 1'
_symmetry_Int_Tables_number 11
_symmetry_space_group_name_Hall '-P 2yb'
_cell_length_a 7.422
_cell_length_b 10.871
_cell_length_c 7.429
_cell_angle_alpha 90.00
_cell_angle_beta 119.92
_cell_angle_gamma 90.00
loop_
_atom_site_label
_atom_site_type_symbol
_atom_site_fract_x
_atom_site_fract_y
_atom_site_fract_z
_atom_site_occupancy
Na1 Na 0.005 0.250 0.001 1
Na2 Na 0.044 0.250 0.454 1
Na3 Na 0.404 0.250 0.951 1
Na4 Na 0.455 0.750 0.402 1
Co1 Co 0.000 0.000 0.000 1
Co2 Co 0.143 0.002 0.715 1
Co3 Co 0.284 0.001 0.428 1
Co4 Co 0.428 0.501 0.142 1
O1 O 0.049 0.092 0.240 1
O2 O 0.100 0.588 0.476 1
O3 O 0.193 0.091 0.955 1
O4 O 0.237 0.592 0.193 1
O5 O 0.334 0.096 0.665 1
O6 O 0.382 0.586 0.905 1
O7 O 0.476 0.088 0.380 1
```



Record 2
Na7Co2O6: simulated PXRD pattern (Cu Kα (λ = 1.5418 Å)), based on a DFT-relaxed cell (PBE+U, OQMD).

The 10 most intense peaks (2θ from 15° to 90°), sorted by position:
hkl 1 1 0, 16.71 deg, rel. 33.9; hkl 1 1 -2, 22.99 deg, rel. 26.1; hkl 3 1 -1, 24.46 deg, rel. 46.0; hkl 4 0 0, 25.69 deg, rel. 49.3; hkl 4 0 2, 35.00 deg, rel. 43.1; hkl 2 2 1, 35.85 deg, rel. 100.0; hkl 5 1 -2, 36.09 deg, rel. 95.3; hkl 1 1 -4, 37.72 deg, rel. 85.2; hkl 7 1 -1, 47.06 deg, rel. 42.9; hkl 3 3 -3, 56.20 deg, rel. 34.6

Structural model:
```
data_Na7Co2O6
_chemical_formula_sum 'Na28 Co8 O24'
_symmetry_space_group_name_H-M 'C 1 2/c 1'
_symmetry_Int_Tables_number 15
_symmetry_space_group_name_Hall '-C 2yc'
_cell_length_a 14.387
_cell_length_b 5.741
_cell_length_c 10.524
_cell_angle_alpha 90.00
_cell_angle_beta 105.37
_cell_angle_gamma 90.00
loop_
_atom_site_label
_atom_site_type_symbol
_atom_site_fract_x
_atom_site_fract_y
_atom_site_fract_z
_atom_site_occupancy
Na1 Na 0.000 0.071 0.250 1
Na2 Na 0.059 0.364 0.650 1
Na3 Na 0.167 0.406 0.405 1
Na4 Na 0.226 0.035 0.807 1
Co1 Co 0.124 0.114 0.039 1
O1 O 0.097 0.230 0.874 1
O2 O 0.120 0.273 0.188 1
O3 O 0.174 0.176 0.583 1
```



Record 3
Na4CoO4: simulated PXRD pattern (Cu Kα (λ = 1.5418 Å)), based on a DFT-relaxed cell (PBE+U, OQMD).

The 10 most intense peaks (2θ from 15° to 90°), sorted by position:
hkl 0 1 1, 17.94 deg, rel. 88.0; hkl 1 0 1, 19.70 deg, rel. 90.3; hkl 1 1 2, 25.26 deg, rel. 56.4; hkl 0 2 1, 33.88 deg, rel. 79.1; hkl 1 1 -2, 33.97 deg, rel. 68.6; hkl 2 0 0, 34.19 deg, rel. 56.5; hkl 2 2 1, 38.24 deg, rel. 100.0; hkl 1 -1 2, 38.63 deg, rel. 98.4; hkl -1 1 3, 41.40 deg, rel. 85.6; hkl 3 1 -2, 57.85 deg, rel. 52.2

Structural model:
```
data_Na4CoO4
_chemical_formula_sum 'Na8 Co2 O8'
_symmetry_space_group_name_H-M 'P -1'
_symmetry_Int_Tables_number 2
_symmetry_space_group_name_Hall '-P 1'
_cell_length_a 5.659
_cell_length_b 5.711
_cell_length_c 8.392
_cell_angle_alpha 72.19
_cell_angle_beta 80.63
_cell_angle_gamma 68.19
loop_
_atom_site_label
_atom_site_type_symbol
_atom_site_fract_x
_atom_site_fract_y
_atom_site_fract_z
_atom_site_occupancy
Na1 Na 0.228 0.485 0.069 1
Na2 Na 0.241 0.232 0.476 1
Na3 Na 0.261 0.579 0.675 1
Na4 Na 0.263 0.049 0.889 1
Co1 Co 0.222 0.847 0.255 1
O1 O 0.023 0.171 0.147 1
O2 O 0.028 0.640 0.307 1
O3 O 0.376 0.833 0.429 1
O4 O 0.473 0.712 0.110 1
```



Record 4
Na10Co4O9: simulated PXRD pattern (Cu Kα (λ = 1.5418 Å)), based on a DFT-relaxed cell (PBE+U, OQMD).

The 10 most intense peaks (2θ from 15° to 90°), sorted by position:
hkl 1 1 -1, 16.88 deg, rel. 40.9; hkl 2 1 2, 23.38 deg, rel. 38.2; hkl 1 1 3, 25.63 deg, rel. 38.5; hkl 0 0 4, 34.22 deg, rel. 43.7; hkl 2 -1 3, 35.64 deg, rel. 59.4; hkl 1 3 2, 36.76 deg, rel. 100.0; hkl -2 1 1, 37.85 deg, rel. 66.1; hkl 3 2 -1, 38.47 deg, rel. 39.5; hkl 3 2 5, 46.58 deg, rel. 37.7; hkl 4 5 1, 58.69 deg, rel. 37.0

Structural model:
```
data_Na10Co4O9
_chemical_formula_sum 'Na20 Co8 O18'
_symmetry_space_group_name_H-M 'P -1'
_symmetry_Int_Tables_number 2
_symmetry_space_group_name_Hall '-P 1'
_cell_length_a 8.297
_cell_length_b 8.406
_cell_length_c 11.217
_cell_angle_alpha 86.73
_cell_angle_beta 70.41
_cell_angle_gamma 61.16
loop_
_atom_site_label
_atom_site_type_symbol
_atom_site_fract_x
_atom_site_fract_y
_atom_site_fract_z
_atom_site_occupancy
Na1 Na 0.004 0.115 0.390 1
Na2 Na 0.024 0.575 0.122 1
Na3 Na 0.124 0.165 0.635 1
Na4 Na 0.152 0.420 0.372 1
Na5 Na 0.236 0.027 0.884 1
Na6 Na 0.328 0.658 0.370 1
Na7 Na 0.344 0.114 0.116 1
Na8 Na 0.360 0.326 0.883 1
Na9 Na 0.397 0.774 0.620 1
Na10 Na 0.495 0.370 0.143 1
Co1 Co 0.076 0.753 0.851 1
Co2 Co 0.209 0.812 0.141 1
Co3 Co 0.258 0.463 0.650 1
Co4 Co 0.437 0.968 0.358 1
O1 O 0.057 0.968 0.785 1
O2 O 0.103 0.293 0.033 1
O3 O 0.145 0.575 0.536 1
O4 O 0.192 0.625 0.226 1
O5 O 0.248 0.932 0.474 1
O6 O 0.296 0.243 0.718 1
O7 O 0.344 0.562 0.752 1
O8 O 0.408 0.835 0.027 1
O9 O 0.439 0.160 0.276 1
```